Entry 1:
Diffraction record for PmBe4Pt6. The XRD peak list is calculated, not measured: it uses a cell relaxed with PBE and Cu Kα (λ = 1.5418 Å).
Peak positions follow from Bragg's law for the DFT cell and can differ from measured ones.

The 12 most intense peaks (2θ from 15° to 90°), most intense first:
| 2theta | I_rel |
| --- | --- |
| 38.46 | 100 |
| 27.94 | 33 |
| 29.99 | 31 |
| 45.67 | 21 |
| 73.68 | 21 |
| 46.95 | 18 |
| 48.10 | 16 |
| 53.25 | 15 |
| 40.03 | 15 |
| 68.50 | 13 |
| 74.56 | 11 |
| 83.19 | 11 |

Structural model:
```
data_PmBe4Pt6
_symmetry_space_group_name_H-M 'P -6 m 2'
_symmetry_Int_Tables_number 187
_symmetry_space_group_name_Hall 'P -6 2'
_cell_length_a 6.8813
_cell_length_b 6.8813
_cell_length_c 3.7831
_cell_angle_alpha 90.00
_cell_angle_beta 90.00
_cell_angle_gamma 120.00
loop_
_atom_site_label
_atom_site_type_symbol
_atom_site_fract_x
_atom_site_fract_y
_atom_site_fract_z
_atom_site_occupancy
Pm1 Pm 0.0000 0.0000 0.0000 1
Be1 Be 0.3333 0.6667 0.0000 1
Be2 Be 0.4272 0.2136 0.5000 1
Pt1 Pt 0.1949 0.3898 0.5000 1
Pt2 Pt 0.5317 0.0634 0.0000 1
```


Entry 2:
Diffraction record for Sr2ZnRhO5. The XRD peak list is calculated, not measured: it uses a cell relaxed with PBE and Cu Kα (λ = 1.5418 Å).
Peak positions follow from Bragg's law for the DFT cell and can differ from measured ones.

The 12 most intense peaks (2θ from 15° to 90°), most intense first:
| 2theta | I_rel |
| --- | --- |
| 38.05 | 100 |
| 28.72 | 91 |
| 33.98 | 64 |
| 38.88 | 62 |
| 32.56 | 56 |
| 30.44 | 50 |
| 32.83 | 47 |
| 55.74 | 45 |
| 45.37 | 41 |
| 55.14 | 29 |
| 21.20 | 26 |
| 69.52 | 24 |

Structural model:
```
data_Sr2ZnRhO5
_symmetry_space_group_name_H-M 'C m c 21'
_symmetry_Int_Tables_number 36
_symmetry_space_group_name_Hall 'C 2c -2'
_cell_length_a 3.3315
_cell_length_b 14.2586
_cell_length_c 10.3624
_cell_angle_alpha 90.00
_cell_angle_beta 90.00
_cell_angle_gamma 90.00
loop_
_atom_site_label
_atom_site_type_symbol
_atom_site_fract_x
_atom_site_fract_y
_atom_site_fract_z
_atom_site_occupancy
Sr1 Sr 0.0000 0.1026 0.0000 1
Sr2 Sr 0.0000 0.1305 0.6253 1
Zn1 Zn 0.0000 0.4501 0.7783 1
Rh1 Rh 0.0000 0.2176 0.3449 1
O1 O 0.0000 0.0710 0.3734 1
O2 O 0.0000 0.2767 0.9665 1
O3 O 0.0000 0.2982 0.7233 1
O4 O 0.0000 0.3574 0.3216 1
O5 O 0.0000 0.4990 0.6074 1
```


Entry 3:
Diffraction record for LiNi2Ag. The XRD peak list is calculated, not measured: it uses a cell relaxed with PBE and Cu Kα (λ = 1.5418 Å).
Peak positions follow from Bragg's law for the DFT cell and can differ from measured ones.

The 12 most intense peaks (2θ from 15° to 90°), most intense first:
| 2theta | I_rel |
| --- | --- |
| 43.68 | 100 |
| 45.08 | 95 |
| 28.35 | 84 |
| 41.21 | 63 |
| 19.61 | 63 |
| 42.05 | 59 |
| 40.55 | 42 |
| 60.35 | 38 |
| 67.38 | 18 |
| 77.84 | 18 |
| 76.84 | 17 |
| 79.98 | 16 |

Structural model:
```
data_LiNi2Ag
_symmetry_space_group_name_H-M 'P 1 2/m 1'
_symmetry_Int_Tables_number 10
_symmetry_space_group_name_Hall '-P 2y'
_cell_length_a 2.5970
_cell_length_b 4.3808
_cell_length_c 4.5521
_cell_angle_alpha 90.00
_cell_angle_beta 96.01
_cell_angle_gamma 90.00
loop_
_atom_site_label
_atom_site_type_symbol
_atom_site_fract_x
_atom_site_fract_y
_atom_site_fract_z
_atom_site_occupancy
Li1 Li 0.0000 0.0000 0.0000 1
Ni1 Ni 0.2108 0.5000 0.7657 1
Ag1 Ag 0.5000 0.0000 0.5000 1
```